(1)
Simulated X-ray powder pattern of ZrB6 for a wavelength of 1.5418 Å, from a DFT-relaxed cell (PBE, the Materials Project).
Intensities are scaled so that the largest is 100.

Crystal structure
```
ZrB6
1.0
4.0588 0.0000 0.0000
0.0000 4.0588 0.0000
0.0000 0.0000 4.0588
Zr B
1 6
direct
0.0000 0.0000 0.0000
0.1976 0.5000 0.5000
0.5000 0.1976 0.5000
0.5000 0.5000 0.1976
0.5000 0.5000 0.8024
0.5000 0.8024 0.5000
0.8024 0.5000 0.5000
```

The 8 most intense peaks (2θ from 5° to 70°), in order of rising 2θ:
2θ/deg, I_rel
21.90, 47
31.16, 100
38.41, 44
44.65, 22
50.27, 46
55.45, 21
64.99, 8
69.47, 28


(2)
Simulated X-ray powder pattern of BaBe13 for a wavelength of 1.5418 Å, from a DFT-relaxed cell (PBE, the Materials Project).
Intensities are scaled so that the largest is 100.

Crystal structure
```
BaBe13
1.0
0.0000 5.3006 5.3006
5.3006 0.0000 5.3006
5.3006 5.3006 0.0000
Ba Be
2 26
direct
0.2500 0.2500 0.2500
0.7500 0.7500 0.7500
0.0000 0.0000 0.0000
0.0664 0.2822 0.7178
0.0664 0.7178 0.9336
0.0664 0.9336 0.2822
0.2178 0.4336 0.7822
0.2178 0.5664 0.4336
0.2178 0.7822 0.5664
0.2822 0.0664 0.9336
0.2822 0.7178 0.0664
0.2822 0.9336 0.7178
0.4336 0.2178 0.5664
0.4336 0.5664 0.7822
0.4336 0.7822 0.2178
0.5000 0.5000 0.5000
0.5664 0.2178 0.7822
0.5664 0.4336 0.2178
0.5664 0.7822 0.4336
0.7178 0.0664 0.2822
0.7178 0.2822 0.9336
0.7178 0.9336 0.0664
0.7822 0.2178 0.4336
0.7822 0.4336 0.5664
0.7822 0.5664 0.2178
0.9336 0.0664 0.7178
0.9336 0.2822 0.0664
0.9336 0.7178 0.2822
```

The 10 most intense peaks (2θ from 5° to 70°), in order of rising 2θ:
2θ/deg, I_rel
16.73, 78
23.74, 100
29.18, 46
33.82, 23
37.96, 73
41.74, 60
51.74, 21
54.76, 26
63.25, 17
65.94, 30